Structure and calculated powder XRD pattern of CsHoTe4 (a DFT-relaxed cell (PBE, Alexandria); Cu Ka).

Structure:
Cell: 6.872 6.872 9.600 Å, 90.00 90.00 90.00°
Space group P4/nbm (No. 125, origin choice 2)
Asymmetric unit:
Cs 0.250 0.250 0.000 (multiplicity 2)
Ho 0.250 0.250 0.500 (multiplicity 2)
Te 0.104 0.604 0.310 (multiplicity 8)

Most intense lines, 10 to 90 degrees two-theta, low angle first:
| index | 2θ/deg | d [Å] | intensity |
| --- | --- | --- | --- |
| 1 1 2 | 26.10 | 3.415 | 100 |
| 2 1 1 | 30.54 | 2.927 | 92 |
| 2 0 2 | 32.04 | 2.794 | 49 |
| 2 1 2 | 34.66 | 2.588 | 36 |
| 3 1 0 | 41.56 | 2.173 | 52 |
| 2 1 4 | 48.11 | 1.891 | 30 |

Structure and calculated powder XRD pattern of MnCr2Ag2S6 (a DFT-relaxed cell (PBE, Alexandria); Cu Ka).

Structure:
Cell: 6.044 10.458 7.447 Å, 90.00 102.56 90.00°
Space group C2/m (No. 12)
Asymmetric unit:
Mn 0.000 0.000 0.000 (multiplicity 2)
Cr 0.000 0.339 0.000 (multiplicity 4)
Ag 0.000 0.154 0.500 (multiplicity 4)
S 0.118 0.165 0.826 (multiplicity 8)
S 0.126 0.500 0.822 (multiplicity 4)

Most intense lines, 10 to 90 degrees two-theta, low angle first:
| index | 2θ/deg | d [Å] | intensity |
| --- | --- | --- | --- |
| 1 1 0 | 17.26 | 5.138 | 36 |
| 2 0 0 | 30.30 | 2.950 | 44 |
| 1 3 -1 | 30.95 | 2.889 | 100 |
| 1 3 -3 | 45.43 | 1.996 | 42 |
| 1 3 3 | 51.00 | 1.791 | 35 |
| 3 3 -1 | 52.51 | 1.743 | 51 |

Structure and calculated powder XRD pattern of CaSbF5 (a DFT-relaxed cell (PBE, Alexandria); Cu Ka).

Structure:
Cell: 5.970 5.971 8.348 Å, 70.73 70.74 74.79°
Space group P-1 (No. 2)
Asymmetric unit:
Ca 0.000 0.000 0.000 (multiplicity 1)
Ca 0.000 0.000 0.500 (multiplicity 1)
Sb 0.489 0.511 0.250 (multiplicity 2)
F 0.099 0.900 0.250 (multiplicity 2)
F 0.225 0.298 0.883 (multiplicity 2)
F 0.297 0.226 0.382 (multiplicity 2)
F 0.301 0.670 0.584 (multiplicity 2)
F 0.330 0.698 0.917 (multiplicity 2)

Most intense lines, 10 to 90 degrees two-theta, low angle first:
| index | 2θ/deg | d [Å] | intensity |
| --- | --- | --- | --- |
| 0 1 0 | 15.96 | 5.552 | 36 |
| 1 1 0 | 20.58 | 4.315 | 56 |
| 1 -1 0 | 24.59 | 3.620 | 100 |
| 2 2 0 | 41.87 | 2.158 | 19 |
| 2 -1 2 | 43.25 | 2.092 | 21 |
| 1 2 -2 | 48.63 | 1.872 | 19 |

Structure and calculated powder XRD pattern of Cs4Na3 (a DFT-relaxed cell (PBE, Alexandria); Cu Ka).

Structure:
Cell: 18.0411 18.0411 5.8813 Å, 90.00 90.00 120.00°
Space group P-3 (No. 147)
Asymmetric unit:
Cs 0.0067 0.7678 0.2621 (multiplicity 6)
Cs 0.1321 0.5138 0.2539 (multiplicity 6)
Na 0.0000 0.0000 0.0000 (multiplicity 1)
Na 0.1616 0.7171 0.7579 (multiplicity 6)
Na 0.3333 0.6667 0.7540 (multiplicity 2)

Most intense lines, 10 to 90 degrees two-theta, low angle first:
| index | 2θ/deg | d [Å] | intensity |
| --- | --- | --- | --- |
| 3 1 0 | 20.50 | 4.333 | 30 |
| 2 1 1 | 21.32 | 4.167 | 100 |
| 0 3 1 | 22.80 | 3.901 | 23 |
| 1 4 0 | 26.14 | 3.409 | 22 |
| 6 -2 1 | 34.00 | 2.637 | 21 |
| 5 2 1 | 39.13 | 2.302 | 25 |